No. 1
Structure and simulated powder XRD pattern of GdI3 (a cell relaxed with GGA-PBE; Cu Kα).

Main lines, most intense first (10° ≤ 2θ ≤ 80°):
| two_theta | I/Imax | hkl |
| --- | --- | --- |
| 13.23 | 100 | 0 1 1 |
| 28.55 | 88 | 1 2 1 |
| 32.54 | 76 | 1 1 2 |
| 23.88 | 67 | 0 3 1 |
| 37.83 | 57 | 1 4 1 |
| 40.45 | 38 | 0 3 3 |
| 22.59 | 36 | 0 0 2 |
| 13.96 | 34 | 0 2 0 |

Atomic structure:
Lattice parameters (Å, degrees): 4.039 12.691 7.873 90.00 90.00 90.00
Space group Imm2 (No. 44)
Asymmetric unit:
Gd (0.000, 0.000, 0.000) (multiplicity 2)
I (0.000, 0.341, 0.649) (multiplicity 4)
I (0.000, 0.500, 0.204) (multiplicity 2)

No. 2
Structure and simulated powder XRD pattern of GdI3O11 (a cell relaxed with GGA-PBE; Cu Kα).

Main lines, most intense first (10° ≤ 2θ ≤ 80°):
| two_theta | I/Imax | hkl |
| --- | --- | --- |
| 14.43 | 100 | 1 -1 0 |
| 12.33 | 90 | 0 1 0 |
| 25.83 | 71 | 1 0 2 |
| 28.01 | 69 | 2 0 -2 |
| 24.14 | 66 | 0 1 2 |
| 22.93 | 64 | 1 1 -2 |
| 26.56 | 62 | 0 0 3 |
| 25.48 | 50 | -1 2 1 |

Atomic structure:
Lattice parameters (Å, degrees): 7.148 7.944 10.777 99.25 103.85 110.33
Space group P-1 (No. 2)
Asymmetric unit:
Gd (0.087, 0.412, 0.288) (multiplicity 2)
I (0.247, 0.734, 0.064) (multiplicity 2)
I (0.280, 0.355, 0.655) (multiplicity 2)
I (0.327, 0.864, 0.586) (multiplicity 2)
O (0.048, 0.612, 0.139) (multiplicity 2)
O (0.084, 0.785, 0.930) (multiplicity 2)
O (0.132, 0.701, 0.426) (multiplicity 2)
O (0.133, 0.861, 0.671) (multiplicity 2)
O (0.254, 0.574, 0.730) (multiplicity 2)
O (0.288, 0.427, 0.501) (multiplicity 2)
O (0.305, 0.414, 0.877) (multiplicity 2)
O (0.315, 0.254, 0.309) (multiplicity 2)
O (0.361, 0.084, 0.542) (multiplicity 2)
O (0.386, 0.962, 0.181) (multiplicity 2)
O (0.431, 0.555, 0.262) (multiplicity 2)

No. 3
Structure and simulated powder XRD pattern of Pm2GdI (a cell relaxed with GGA-PBE; Cu Kα).

Main lines, most intense first (10° ≤ 2θ ≤ 80°):
| two_theta | I/Imax | hkl |
| --- | --- | --- |
| 30.40 | 100 | 1 0 2 |
| 34.30 | 37 | 1 1 0 |
| 59.02 | 30 | 2 1 2 |
| 51.40 | 23 | 1 1 4 |
| 37.09 | 14 | 0 0 4 |
| 49.29 | 13 | 2 0 0 |
| 63.26 | 12 | 2 0 4 |
| 62.75 | 12 | 1 0 6 |

Atomic structure:
Lattice parameters (Å, degrees): 3.698 3.698 9.696 90.00 90.00 90.00
Space group P4/mmm (No. 123)
Asymmetric unit:
Pm (0.000, 0.000, 0.241) (multiplicity 2)
Gd (0.500, 0.500, 0.500) (multiplicity 1)
I (0.500, 0.500, 0.000) (multiplicity 1)

No. 4
Structure and simulated powder XRD pattern of Pr2GdI (a cell relaxed with GGA-PBE; Cu Kα).

Main lines, most intense first (10° ≤ 2θ ≤ 80°):
| two_theta | I/Imax | hkl |
| --- | --- | --- |
| 30.08 | 100 | 1 0 2 |
| 33.92 | 37 | 1 1 0 |
| 58.34 | 30 | 2 1 2 |
| 50.85 | 23 | 1 1 4 |
| 36.72 | 14 | 0 0 4 |
| 48.73 | 13 | 2 0 0 |
| 62.54 | 12 | 2 0 4 |
| 62.06 | 12 | 1 0 6 |

Atomic structure:
Lattice parameters (Å, degrees): 3.737 3.737 9.790 90.00 90.00 90.00
Space group P4/mmm (No. 123)
Asymmetric unit:
Pr (0.000, 0.000, 0.241) (multiplicity 2)
Gd (0.500, 0.500, 0.500) (multiplicity 1)
I (0.500, 0.500, 0.000) (multiplicity 1)

No. 5
Structure and simulated powder XRD pattern of Gd2ThI (a cell relaxed with GGA-PBE; Cu Kα).

Main lines, most intense first (10° ≤ 2θ ≤ 80°):
| two_theta | I/Imax | hkl |
| --- | --- | --- |
| 29.75 | 100 | 1 0 4 |
| 35.86 | 60 | 0 1 8 |
| 48.51 | 26 | 1 1 0 |
| 60.72 | 26 | 1 1 12 |
| 34.25 | 22 | 0 0 12 |
| 54.61 | 17 | 1 0 16 |
| 57.95 | 15 | 0 2 4 |
| 78.86 | 13 | 2 1 4 |

Atomic structure:
Lattice parameters (Å, degrees): 3.7532 3.7532 31.4143 90.00 90.00 120.00
Space group R-3m (No. 166, hexagonal axes)
Asymmetric unit:
Gd (0.0000, 0.0000, 0.2461) (multiplicity 6)
Th (0.0000, 0.0000, 0.0000) (multiplicity 3)
I (0.0000, 0.0000, 0.5000) (multiplicity 3)

No. 6
Structure and simulated powder XRD pattern of SmGdInIr (a cell relaxed with GGA-PBE; Cu Kα).

Main lines, most intense first (10° ≤ 2θ ≤ 80°):
| two_theta | I/Imax | hkl |
| --- | --- | --- |
| 34.82 | 100 | 2 2 0 |
| 62.43 | 37 | 4 2 2 |
| 50.07 | 18 | 4 0 0 |
| 73.51 | 11 | 4 4 0 |
| 21.12 | 3 | 1 1 1 |
| 41.08 | 2 | 3 1 1 |
| 54.92 | 1 | 3 3 1 |
| 77.49 | 1 | 5 3 1 |

Atomic structure:
Lattice parameters (Å, degrees): 7.288 7.288 7.288 90.00 90.00 90.00
Space group F-43m (No. 216)
Asymmetric unit:
Sm (0.000, 0.000, 0.000) (multiplicity 4)
Gd (0.000, 0.000, 0.500) (multiplicity 4)
In (0.250, 0.250, 0.250) (multiplicity 4)
Ir (0.250, 0.250, 0.750) (multiplicity 4)

No. 7
Structure and simulated powder XRD pattern of LaGdZnIn (a cell relaxed with GGA-PBE; Cu Kα).

Main lines, most intense first (10° ≤ 2θ ≤ 80°):
| two_theta | I/Imax | hkl |
| --- | --- | --- |
| 33.33 | 100 | 2 2 0 |
| 59.56 | 37 | 4 2 2 |
| 47.85 | 18 | 4 0 0 |
| 79.76 | 16 | 6 2 0 |
| 69.99 | 11 | 4 4 0 |
| 23.40 | 6 | 2 0 0 |
| 53.92 | 3 | 4 2 0 |
| 20.23 | 2 | 1 1 1 |

Atomic structure:
Lattice parameters (Å, degrees): 7.604 7.604 7.604 90.00 90.00 90.00
Space group F-43m (No. 216)
Asymmetric unit:
La (0.000, 0.000, 0.000) (multiplicity 4)
Gd (0.000, 0.000, 0.500) (multiplicity 4)
Zn (0.250, 0.250, 0.750) (multiplicity 4)
In (0.250, 0.250, 0.250) (multiplicity 4)

No. 8
Structure and simulated powder XRD pattern of GdLuIn (a cell relaxed with GGA-PBE; Cu Kα).

Main lines, most intense first (10° ≤ 2θ ≤ 80°):
| two_theta | I/Imax | hkl |
| --- | --- | --- |
| 32.15 | 100 | 1 0 3 |
| 35.75 | 39 | 1 1 0 |
| 61.98 | 30 | 2 1 3 |
| 54.90 | 20 | 1 1 6 |
| 51.45 | 14 | 2 0 0 |
| 40.23 | 12 | 0 0 6 |
| 67.25 | 11 | 2 0 6 |
| 68.06 | 9 | 1 0 9 |

Atomic structure:
Lattice parameters (Å, degrees): 3.552 3.552 13.450 90.00 90.00 90.00
Space group I4mm (No. 107)
Asymmetric unit:
Gd (0.000, 0.000, 0.000) (multiplicity 2)
Lu (0.000, 0.000, 0.313) (multiplicity 2)
In (0.000, 0.000, 0.661) (multiplicity 2)

No. 9
Structure and simulated powder XRD pattern of GdMg4In (a cell relaxed with GGA-PBE; Cu Kα).

Main lines, most intense first (10° ≤ 2θ ≤ 80°):
| two_theta | I/Imax | hkl |
| --- | --- | --- |
| 35.18 | 100 | 3 1 1 |
| 29.87 | 95 | 2 2 0 |
| 18.16 | 57 | 1 1 1 |
| 53.02 | 38 | 4 2 2 |
| 56.52 | 33 | 5 1 1 |
| 62.05 | 22 | 4 4 0 |
| 70.37 | 16 | 6 2 0 |
| 46.80 | 15 | 3 3 1 |

Atomic structure:
Lattice parameters (Å, degrees): 8.461 8.461 8.461 90.00 90.00 90.00
Space group F-43m (No. 216)
Asymmetric unit:
Gd (0.000, 0.000, 0.000) (multiplicity 4)
Mg (0.125, 0.125, 0.375) (multiplicity 16)
In (0.250, 0.250, 0.750) (multiplicity 4)

No. 10
Structure and simulated powder XRD pattern of GdYMnIn (a cell relaxed with GGA-PBE; Cu Kα).

Main lines, most intense first (10° ≤ 2θ ≤ 80°):
| two_theta | I/Imax | hkl |
| --- | --- | --- |
| 34.25 | 100 | 2 2 0 |
| 61.32 | 36 | 4 2 2 |
| 49.21 | 18 | 4 0 0 |
| 72.15 | 11 | 4 4 0 |
| 20.77 | 10 | 1 1 1 |
| 40.39 | 6 | 3 1 1 |
| 24.03 | 4 | 2 0 0 |
| 53.97 | 3 | 3 3 1 |

Atomic structure:
Lattice parameters (Å, degrees): 7.406 7.406 7.406 90.00 90.00 90.00
Space group F-43m (No. 216)
Asymmetric unit:
Gd (0.000, 0.000, 0.000) (multiplicity 4)
Y (0.000, 0.000, 0.500) (multiplicity 4)
Mn (0.250, 0.250, 0.750) (multiplicity 4)
In (0.250, 0.250, 0.250) (multiplicity 4)

No. 11
Structure and simulated powder XRD pattern of Gd3InN (a cell relaxed with GGA-PBE; Cu Kα).

Main lines, most intense first (10° ≤ 2θ ≤ 80°):
| two_theta | I/Imax | hkl |
| --- | --- | --- |
| 31.74 | 100 | 1 1 1 |
| 36.82 | 55 | 2 0 0 |
| 63.16 | 42 | 3 1 1 |
| 53.05 | 38 | 2 2 0 |
| 66.32 | 13 | 2 2 2 |
| 78.33 | 6 | 4 0 0 |
| 18.17 | 3 | 1 0 0 |
| 41.35 | 1 | 2 1 0 |

Atomic structure:
Lattice parameters (Å, degrees): 4.883 4.883 4.883 90.00 90.00 90.00
Space group Pm-3m (No. 221)
Asymmetric unit:
Gd (0.000, 0.000, 0.500) (multiplicity 3)
In (0.500, 0.500, 0.500) (multiplicity 1)
N (0.000, 0.000, 0.000) (multiplicity 1)

No. 12
Structure and simulated powder XRD pattern of NdGdZnIn (a cell relaxed with GGA-PBE; Cu Kα).

Main lines, most intense first (10° ≤ 2θ ≤ 80°):
| two_theta | I/Imax | hkl |
| --- | --- | --- |
| 33.73 | 100 | 2 2 0 |
| 60.34 | 37 | 4 2 2 |
| 48.45 | 18 | 4 0 0 |
| 70.94 | 11 | 4 4 0 |
| 23.68 | 6 | 2 0 0 |
| 54.62 | 3 | 4 2 0 |
| 20.47 | 2 | 1 1 1 |
| 41.63 | 2 | 2 2 2 |

Atomic structure:
Lattice parameters (Å, degrees): 7.515 7.515 7.515 90.00 90.00 90.00
Space group F-43m (No. 216)
Asymmetric unit:
Nd (0.000, 0.000, 0.000) (multiplicity 4)
Gd (0.000, 0.000, 0.500) (multiplicity 4)
Zn (0.250, 0.250, 0.250) (multiplicity 4)
In (0.250, 0.250, 0.750) (multiplicity 4)

No. 13
Structure and simulated powder XRD pattern of Gd2InSbO7 (a cell relaxed with GGA-PBE; Cu Kα).

Main lines, most intense first (10° ≤ 2θ ≤ 80°):
| two_theta | I/Imax | hkl |
| --- | --- | --- |
| 29.41 | 100 | 2 0 2 |
| 28.92 | 100 | 0 2 2 |
| 33.80 | 67 | 0 0 4 |
| 48.56 | 63 | 2 2 4 |
| 57.21 | 30 | 2 4 2 |
| 58.06 | 28 | 4 2 2 |
| 47.89 | 17 | 0 4 0 |
| 57.54 | 15 | 0 2 6 |

Atomic structure:
Lattice parameters (Å, degrees): 7.411 7.597 10.599 90.00 90.00 90.00
Space group Imma (No. 74)
Asymmetric unit:
Gd (0.000, 0.000, 0.000) (multiplicity 4)
Gd (0.250, 0.250, 0.250) (multiplicity 4)
In (0.250, 0.250, 0.750) (multiplicity 4)
Sb (0.000, 0.000, 0.500) (multiplicity 4)
O (0.000, 0.250, 0.129) (multiplicity 4)
O (0.000, 0.250, 0.433) (multiplicity 4)
O (0.000, 0.250, 0.854) (multiplicity 4)
O (0.201, 0.024, 0.625) (multiplicity 16)

No. 14
Structure and simulated powder XRD pattern of GdInPd4 (a cell relaxed with GGA-PBE; Cu Kα).

Main lines, most intense first (10° ≤ 2θ ≤ 80°):
| two_theta | I/Imax | hkl |
| --- | --- | --- |
| 39.13 | 100 | 3 1 1 |
| 33.19 | 35 | 2 2 0 |
| 40.95 | 33 | 2 2 2 |
| 63.30 | 32 | 5 1 1 |
| 69.67 | 26 | 4 4 0 |
| 59.30 | 13 | 4 2 2 |
| 79.38 | 5 | 6 2 0 |
| 47.65 | 2 | 4 0 0 |

Atomic structure:
Lattice parameters (Å, degrees): 7.635 7.635 7.635 90.00 90.00 90.00
Space group F-43m (No. 216)
Asymmetric unit:
Gd (0.000, 0.000, 0.000) (multiplicity 4)
In (0.250, 0.250, 0.750) (multiplicity 4)
Pd (0.125, 0.125, 0.375) (multiplicity 16)

No. 15
Structure and simulated powder XRD pattern of PmGd2In (a cell relaxed with GGA-PBE; Cu Kα).

Main lines, most intense first (10° ≤ 2θ ≤ 80°):
| two_theta | I/Imax | hkl |
| --- | --- | --- |
| 31.58 | 100 | 1 1 1 |
| 36.70 | 33 | 2 0 0 |
| 62.91 | 27 | 3 1 1 |
| 52.71 | 24 | 2 0 2 |
| 36.47 | 17 | 0 0 2 |
| 62.60 | 14 | 1 1 3 |
| 65.94 | 12 | 2 2 2 |
| 52.88 | 12 | 2 2 0 |

Atomic structure:
Lattice parameters (Å, degrees): 4.897 4.897 4.927 90.00 90.00 90.00
Space group P4/mmm (No. 123)
Asymmetric unit:
Pm (0.000, 0.000, 0.000) (multiplicity 1)
Gd (0.000, 0.500, 0.500) (multiplicity 2)
In (0.500, 0.500, 0.000) (multiplicity 1)